For AlSe2O8, a structure optimized by DFT (GGA-PBE) gives the simulated powder diffractogram in this record (Cu Kα (weighted mean of Kα1 and Kα2)).
Peak positions follow from Bragg's law for the DFT cell and can differ from measured ones.

```
data_AlSe2O8
_chemical_formula_sum 'Al1 Se2 O8'
_cell_length_a 5.3154
_cell_length_b 5.3154
_cell_length_c 6.6846
_cell_angle_alpha 90.00
_cell_angle_beta 90.00
_cell_angle_gamma 120.00
_symmetry_space_group_name_H-M 'P 1'
_symmetry_Int_Tables_number 1
_symmetry_space_group_name_Hall 'P 1'
loop_
_atom_site_label
_atom_site_fract_x
_atom_site_fract_y
_atom_site_fract_z
_atom_site_occupancy
Al1 0.0000 0.0000 0.0000 1
Se1 0.3333 0.6667 0.2538 1
Se2 0.6667 0.3333 0.7462 1
O1 0.1632 0.3264 0.1709 1
O2 0.1632 0.8368 0.1709 1
O3 0.3264 0.1632 0.8291 1
O4 0.3333 0.6667 0.4996 1
O5 0.6667 0.3333 0.5004 1
O6 0.6736 0.8368 0.1709 1
O7 0.8368 0.1632 0.8291 1
O8 0.8368 0.6736 0.8291 1
```

Top 12 peaks for 15 to 90 degrees two-theta, in order of rising 2θ:
- d 4.603, I = 63, (1 0 0)
- d 3.791, I = 1000, (0 1 1)
- d 3.342, I = 95, (0 0 2)
- d 2.705, I = 88, (0 1 2)
- d 2.658, I = 223, (1 1 0)
- d 2.006, I = 110, (1 0 3)
- d 1.896, I = 86, (0 2 2)
- d 1.684, I = 180, (1 2 1)
- d 1.601, I = 62, (0 2 3)
- d 1.415, I = 86, (1 1 4)
- d 1.371, I = 64, (2 1 3)
- d 1.254, I = 62, (3 1 1)